Starting from a structure optimized by DFT (GGA-PBE), the XRD peak list of Ac2Au2N was computed for Cu Kα.
Neutral-atom scattering factors, no anomalous dispersion.

Structure:
Unit cell a=4.4251 b=4.4251 c=26.3674 alpha=90.00 beta=90.00 gamma=90.00
Space group I4_1/amd (No. 141, origin choice 2)
Unique sites:
Ac 0.0000 0.2500 0.0779
Au 0.0000 0.2500 0.2175
N 0.0000 0.2500 0.8750

Peak list (12 most intense, 15° ≤ 2θ ≤ 90°, in order of rising 2θ)
2theta	I (rel.)	hkl
26.29	33	1 0 5
29.34	100	1 1 2
31.18	79	1 0 7
35.21	55	1 1 6
36.79	34	1 0 9
40.78	59	2 0 0
49.43	20	1 0 13
52.21	38	2 1 7
56.08	20	2 1 9
59.04	20	2 2 0
65.95	17	2 1 13
67.29	20	3 1 2

***

Starting from a structure optimized by DFT (GGA-PBE), the XRD peak list of PrIn6Pd12 was computed for Cu Kα.
Neutral-atom scattering factors, no anomalous dispersion.

Structure:
Unit cell a=12.0673 b=12.0673 c=8.8071 alpha=90.00 beta=90.00 gamma=120.00
Space group R-3m (No. 166, hexagonal axes)
Unique sites:
Pr 0.0000 0.0000 0.0000
In 0.0544 0.5272 0.2424
Pd 0.0000 0.3850 0.5000
Pd 0.0807 0.1614 0.2867

Peak list (12 most intense, 15° ≤ 2θ ≤ 90°, in order of rising 2θ)
2theta	I (rel.)	hkl
24.70	30	2 1 1
30.40	22	1 2 2
32.52	100	1 3 1
33.96	66	1 1 3
38.93	87	3 2 1
40.17	88	0 3 3
42.95	64	2 3 2
44.66	62	0 2 4
47.16	20	2 4 1
48.19	70	5 0 2
64.05	19	5 2 3
77.20	28	3 5 4

***

Starting from a structure optimized by DFT (GGA-PBE), the XRD peak list of SnRh4 was computed for Cu Kα.
Neutral-atom scattering factors, no anomalous dispersion.

Structure:
Unit cell a=4.2312 b=5.4883 c=13.3626 alpha=90.00 beta=90.00 gamma=90.00
Space group Imma (No. 74)
Unique sites:
Sn 0.0000 0.2500 0.1053
Rh 0.0000 0.0000 0.5000
Rh 0.0000 0.0081 0.6967
Rh 0.0000 0.2500 0.8972

Peak list (12 most intense, 15° ≤ 2θ ≤ 90°, in order of rising 2θ)
2theta	I (rel.)	hkl
39.73	87	1 2 1
39.90	100	1 0 5
42.64	35	0 2 4
42.74	42	2 0 0
44.29	13	1 2 3
52.95	19	0 2 6
61.96	23	2 2 4
70.31	16	2 2 6
76.27	25	3 2 1
76.35	15	3 0 5
82.19	24	1 4 5
84.08	12	2 4 0

***

Starting from a structure optimized by DFT (GGA-PBE), the XRD peak list of CuSbO4 was computed for Cu Kα.
Neutral-atom scattering factors, no anomalous dispersion.

Structure:
Unit cell a=5.0707 b=4.6162 c=5.6462 alpha=90.00 beta=90.00 gamma=90.00
Space group Pnc2 (No. 30)
Unique sites:
Cu 0.0000 0.0000 0.0000
Sb 0.5000 0.0000 0.6903
O 0.1717 0.2320 0.7406
O 0.3288 0.7325 0.4575

Peak list (12 most intense, 15° ≤ 2θ ≤ 90°, in order of rising 2θ)
2theta	I (rel.)	hkl
24.91	50	0 1 1
30.60	100	1 1 1
35.40	16	2 0 0
36.43	27	1 0 2
43.78	19	2 1 1
52.51	15	0 1 3
53.70	19	2 2 0
54.44	31	1 2 2
60.60	15	3 1 1
64.23	12	3 0 2
64.93	15	2 1 3
65.51	12	1 3 1